Diffraction record for BaFe2P2O7F2. The X-ray diffraction stick pattern is calculated, not measured: it uses the GGA+U geometry in the Materials Project and Cu Kα.
Neutral-atom scattering factors, no anomalous dispersion.

Unit cell a=6.9301 b=12.0470 c=4.6689 alpha=90.00 beta=90.00 gamma=90.00
Fractional positions:
Ba: 0.2500 0.2500 0.1080
Ba: 0.7500 0.7500 0.8920
Fe: 0.0000 0.0000 0.5000
Fe: 0.0000 0.5000 0.5000
Fe: 0.5000 0.0000 0.5000
Fe: 0.5000 0.5000 0.5000
P: 0.2500 0.6261 0.9868
P: 0.2500 0.8739 0.9868
P: 0.7500 0.1261 0.0132
P: 0.7500 0.3739 0.0132
O: 0.0652 0.6161 0.8098
O: 0.0652 0.8839 0.8098
O: 0.2500 0.5501 0.2495
O: 0.2500 0.7500 0.1259
O: 0.2500 0.9499 0.2495
O: 0.4348 0.6161 0.8098
O: 0.4348 0.8839 0.8098
O: 0.5652 0.1161 0.1902
O: 0.5652 0.3839 0.1902
O: 0.7500 0.0501 0.7505
O: 0.7500 0.2500 0.8741
O: 0.7500 0.4499 0.7505
O: 0.9348 0.1161 0.1902
O: 0.9348 0.3839 0.1902
F: 0.2500 0.1139 0.6284
F: 0.2500 0.3861 0.6284
F: 0.7500 0.6139 0.3716
F: 0.7500 0.8861 0.3716

Peak list (10 most intense, 10° ≤ 2θ ≤ 90°, in order of falling intensity)
24.12 deg, d 3.690, rel. 100
32.14 deg, d 2.785, rel. 99
29.74 deg, d 3.004, rel. 66
25.65 deg, d 3.473, rel. 58
44.31 deg, d 2.044, rel. 46
39.36 deg, d 2.289, rel. 36
49.43 deg, d 1.844, rel. 29
37.84 deg, d 2.377, rel. 28
14.75 deg, d 6.008, rel. 21
20.40 deg, d 4.353, rel. 20


Diffraction record for BaFePO4F2. The X-ray diffraction stick pattern is calculated, not measured: it uses the GGA+U geometry in the Materials Project and Cu Kα.
Neutral-atom scattering factors, no anomalous dispersion.

Unit cell a=5.2891 b=12.9776 c=8.0589 alpha=90.00 beta=117.88 gamma=90.00
Fractional positions:
Ba: 0.1494 0.2010 0.1857
Ba: 0.1494 0.2990 0.6857
Ba: 0.8506 0.7010 0.3143
Ba: 0.8506 0.7990 0.8143
Fe: 0.0000 0.0000 0.5000
Fe: 0.0000 0.5000 0.0000
Fe: 0.5000 0.0000 0.0000
Fe: 0.5000 0.5000 0.5000
P: 0.3727 0.6142 0.8046
P: 0.3727 0.8858 0.3046
P: 0.6273 0.1142 0.6954
P: 0.6273 0.3858 0.1954
O: 0.2311 0.5932 0.9320
O: 0.2311 0.9068 0.4320
O: 0.2785 0.7200 0.7119
O: 0.2785 0.7800 0.2119
O: 0.2930 0.1163 0.5628
O: 0.2930 0.3837 0.0628
O: 0.3002 0.5277 0.6546
O: 0.3002 0.9723 0.1546
O: 0.6998 0.0277 0.8454
O: 0.6998 0.4723 0.3454
O: 0.7070 0.6163 0.9372
O: 0.7070 0.8837 0.4372
O: 0.7215 0.2200 0.7881
O: 0.7215 0.2800 0.2881
O: 0.7689 0.0932 0.5680
O: 0.7689 0.4068 0.0680
F: 0.1825 0.5571 0.2636
F: 0.1825 0.9429 0.7636
F: 0.3324 0.1379 0.9465
F: 0.3324 0.3621 0.4465
F: 0.6676 0.6379 0.5535
F: 0.6676 0.8621 0.0535
F: 0.8175 0.0571 0.2364
F: 0.8175 0.4429 0.7364

Peak list (10 most intense, 10° ≤ 2θ ≤ 90°, in order of falling intensity)
26.87 deg, d 3.318, rel. 100
28.13 deg, d 3.173, rel. 50
28.59 deg, d 3.122, rel. 46
25.94 deg, d 3.435, rel. 37
20.19 deg, d 4.398, rel. 36
30.62 deg, d 2.920, rel. 32
34.68 deg, d 2.586, rel. 30
39.14 deg, d 2.301, rel. 29
31.22 deg, d 2.865, rel. 28
30.27 deg, d 2.953, rel. 27


Diffraction record for RbBa2Fe2F9. The X-ray diffraction stick pattern is calculated, not measured: it uses the GGA+U geometry in the Materials Project and Cu Kα.
Neutral-atom scattering factors, no anomalous dispersion.

Unit cell a=7.8569 b=7.8569 c=7.8569 alpha=44.83 beta=44.83 gamma=44.83
Fractional positions:
Rb: 0.0000 0.0000 0.0000
Ba: 0.2142 0.2142 0.2142
Ba: 0.4203 0.4203 0.4203
Fe: 0.6090 0.6090 0.6090
Fe: 0.8218 0.8218 0.8218
F: 0.0031 0.4784 0.4784
F: 0.2207 0.7072 0.7072
F: 0.4312 0.9478 0.9478
F: 0.4784 0.0031 0.4784
F: 0.4784 0.4784 0.0031
F: 0.7072 0.2207 0.7072
F: 0.7072 0.7072 0.2207
F: 0.9478 0.4312 0.9478
F: 0.9478 0.9479 0.4312

Peak list (10 most intense, 10° ≤ 2θ ≤ 90°, in order of falling intensity)
27.19 deg, d 3.280, rel. 100
29.82 deg, d 2.996, rel. 81
40.79 deg, d 2.212, rel. 70
51.34 deg, d 1.780, rel. 37
46.33 deg, d 1.960, rel. 24
61.94 deg, d 1.498, rel. 22
38.65 deg, d 2.330, rel. 22
52.93 deg, d 1.730, rel. 16
56.08 deg, d 1.640, rel. 16
64.81 deg, d 1.439, rel. 16


Diffraction record for Ba2ZnFe2F14. The X-ray diffraction stick pattern is calculated, not measured: it uses the GGA+U geometry in the Materials Project and Cu Kα.
Neutral-atom scattering factors, no anomalous dispersion.

Unit cell a=5.7374 b=10.1225 c=9.5418 alpha=90.00 beta=94.20 gamma=90.00
Fractional positions:
Ba: 0.0000 0.0422 0.0000
Ba: 0.0000 0.9578 0.5000
Ba: 0.5089 0.4504 0.9918
Ba: 0.5089 0.5496 0.4918
Zn: 0.9554 0.3567 0.3025
Zn: 0.9554 0.6433 0.8025
Fe: 0.0736 0.3500 0.6855
Fe: 0.0736 0.6500 0.1855
Fe: 0.4612 0.1312 0.3043
Fe: 0.4612 0.8688 0.8043
F: 0.1625 0.2075 0.3652
F: 0.1625 0.7925 0.8652
F: 0.1650 0.2942 0.8727
F: 0.1650 0.7058 0.3727
F: 0.2302 0.4662 0.2440
F: 0.2302 0.5338 0.7440
F: 0.2695 0.0140 0.7545
F: 0.2695 0.9860 0.2545
F: 0.3709 0.3271 0.6171
F: 0.3709 0.6729 0.1171
F: 0.3852 0.1988 0.1306
F: 0.3852 0.8012 0.6306
F: 0.5126 0.0619 0.4787
F: 0.5126 0.9381 0.9787
F: 0.6284 0.2931 0.3551
F: 0.6284 0.7069 0.8551
F: 0.6845 0.2199 0.9178
F: 0.6845 0.7801 0.4178
F: 0.7475 0.0558 0.2551
F: 0.7475 0.9442 0.7551
F: 0.7969 0.4630 0.7443
F: 0.7969 0.5370 0.2443
F: 0.8727 0.2913 0.1112
F: 0.8727 0.7087 0.6112
F: 0.9270 0.1922 0.6292
F: 0.9270 0.8078 0.1292
F: 0.9787 0.4357 0.4959
F: 0.9787 0.5643 0.9959

Peak list (10 most intense, 10° ≤ 2θ ≤ 90°, in order of falling intensity)
26.72 deg, d 3.336, rel. 100
25.04 deg, d 3.556, rel. 82
24.86 deg, d 3.582, rel. 78
41.96 deg, d 2.153, rel. 74
40.38 deg, d 2.234, rel. 72
39.77 deg, d 2.266, rel. 65
25.70 deg, d 3.466, rel. 59
30.76 deg, d 2.906, rel. 52
31.26 deg, d 2.861, rel. 37
51.43 deg, d 1.777, rel. 33


Diffraction record for BaMnGaF7. The X-ray diffraction stick pattern is calculated, not measured: it uses the GGA+U geometry in the Materials Project and Cu Kα.
Neutral-atom scattering factors, no anomalous dispersion.

Unit cell a=7.5032 b=7.5032 c=14.9132 alpha=91.08 beta=91.08 gamma=41.99
Fractional positions:
Ba: 0.1451 0.2338 0.1216
Ba: 0.2338 0.1451 0.6216
Ba: 0.7662 0.8550 0.3784
Ba: 0.8550 0.7662 0.8784
Mn: 0.4550 0.5450 0.2500
Mn: 0.5000 0.5000 0.0000
Mn: 0.5000 0.5000 0.5000
Mn: 0.5450 0.4550 0.7500
Ga: 0.1156 0.1230 0.8744
Ga: 0.1230 0.1156 0.3744
Ga: 0.8770 0.8844 0.6256
Ga: 0.8844 0.8770 0.1256
F: 0.0501 0.6208 0.2219
F: 0.0887 0.7471 0.5195
F: 0.1049 0.8839 0.3414
F: 0.1161 0.8951 0.1586
F: 0.1581 0.6016 0.7027
F: 0.1700 0.5723 0.0465
F: 0.1908 0.3054 0.4106
F: 0.2529 0.9113 0.9805
F: 0.3054 0.1908 0.9106
F: 0.3605 0.5261 0.8715
F: 0.3792 0.9499 0.2781
F: 0.3984 0.8419 0.7973
F: 0.4277 0.8300 0.4535
F: 0.4739 0.6395 0.6285
F: 0.5261 0.3605 0.3715
F: 0.5723 0.1700 0.5465
F: 0.6016 0.1581 0.2027
F: 0.6208 0.0501 0.7219
F: 0.6395 0.4739 0.1285
F: 0.6946 0.8092 0.0894
F: 0.7471 0.0887 0.0195
F: 0.8092 0.6946 0.5894
F: 0.8300 0.4277 0.9535
F: 0.8419 0.3984 0.2973
F: 0.8839 0.1049 0.8414
F: 0.8951 0.1161 0.6586
F: 0.9113 0.2529 0.4805
F: 0.9499 0.3792 0.7781

Peak list (10 most intense, 10° ≤ 2θ ≤ 90°, in order of falling intensity)
25.26 deg, d 3.525, rel. 100
29.75 deg, d 3.003, rel. 32
29.96 deg, d 2.982, rel. 30
23.87 deg, d 3.728, rel. 28
33.33 deg, d 2.688, rel. 23
27.83 deg, d 3.206, rel. 22
41.41 deg, d 2.181, rel. 22
44.29 deg, d 2.045, rel. 21
43.37 deg, d 2.086, rel. 21
40.73 deg, d 2.215, rel. 21